Diffraction record for BaPrCd. The XRD peak list is simulated, not measured: it uses the PBE geometry in Alexandria and Cu Ka.

Cell and atoms:
a = 7.621 Å, b = 7.621 Å, c = 7.621 Å
α = 149.16°, β = 149.16°, γ = 44.17°
Atoms (fractional coordinates):
Ba: 0.000 0.000 0.000
Pr: 0.279 0.279 0.000
Cd: 0.666 0.666 0.000

Main lines, most intense first (5° ≤ 2θ ≤ 70°):
d_spacing  intensity
3.071  100
2.866  53
1.691  34
2.026  19
2.317  14
1.806  11
2.225  11
3.531  10
1.819  9
7.062  9


Diffraction record for Sb2O3. The XRD peak list is simulated, not measured: it uses the PBE geometry in Alexandria and Cu Ka.

Cell and atoms:
a = 8.353 Å, b = 4.862 Å, c = 10.951 Å
α = 90.00°, β = 120.98°, γ = 90.00°
Atoms (fractional coordinates):
Sb: 0.086 0.168 0.395
Sb: 0.086 0.332 0.895
Sb: 0.396 0.635 0.302
Sb: 0.396 0.865 0.802
Sb: 0.604 0.135 0.198
Sb: 0.604 0.365 0.698
Sb: 0.914 0.668 0.105
Sb: 0.914 0.832 0.605
O: 0.100 0.683 0.809
O: 0.100 0.817 0.309
O: 0.156 0.597 0.108
O: 0.156 0.903 0.608
O: 0.450 0.029 0.285
O: 0.450 0.471 0.785
O: 0.550 0.529 0.215
O: 0.550 0.971 0.715
O: 0.844 0.097 0.392
O: 0.844 0.403 0.892
O: 0.900 0.183 0.691
O: 0.900 0.317 0.191

Main lines, most intense first (5° ≤ 2θ ≤ 70°):
d_spacing  intensity
3.614  100
3.236  46
2.883  37
2.784  37
4.158  33
2.353  29
2.700  26
4.694  23
1.724  20
2.912  20


Diffraction record for Pr2Ge7. The XRD peak list is simulated, not measured: it uses the PBE geometry in Alexandria and Cu Ka.

Cell and atoms:
a = 4.286 Å, b = 11.911 Å, c = 11.911 Å
α = 19.62°, β = 90.00°, γ = 90.00°
Atoms (fractional coordinates):
Pr: 0.000 0.000 0.000
Pr: 0.000 0.338 0.338
Ge: 0.000 0.627 0.627
Ge: 0.000 0.736 0.736
Ge: 0.500 0.132 0.132
Ge: 0.500 0.241 0.241
Ge: 0.500 0.445 0.445
Ge: 0.500 0.559 0.559
Ge: 0.500 0.877 0.877

Main lines, most intense first (5° ≤ 2θ ≤ 70°):
d_spacing  intensity
2.758  100
2.143  25
2.890  23
2.029  21
2.194  16
2.214  16
2.496  15
1.474  15
1.534  14
2.934  12